Structure and calculated powder X-ray diffraction pattern of Pr12Ho6Mg (DFT lattice parameters and positions (PBE); CuKα).
Peak positions follow from Bragg's law for the DFT cell and can differ from measured ones.

Cell and atoms:
a b c (Å): 8.705 8.705 8.705
angles (deg): 88.71 88.71 88.71
Sites, in units of the cell vectors:
Pr 0.038 0.931 0.285
Pr 0.069 0.715 0.962
Pr 0.134 0.483 0.319
Pr 0.285 0.038 0.931
Pr 0.319 0.134 0.483
Pr 0.483 0.319 0.134
Pr 0.517 0.681 0.866
Pr 0.681 0.866 0.517
Pr 0.715 0.962 0.069
Pr 0.866 0.517 0.681
Pr 0.931 0.285 0.038
Pr 0.962 0.069 0.715
Ho 0.215 0.759 0.601
Ho 0.241 0.399 0.785
Ho 0.399 0.785 0.241
Ho 0.601 0.215 0.759
Ho 0.759 0.601 0.215
Ho 0.785 0.241 0.399
Mg 0.500 0.500 0.500

The 10 most intense peaks (10 to 80 degrees two-theta), in order of rising 2θ:
d [Å]	Position (°2θ)	I (rel.)
3.926	22.65	16
2.958	30.21	36
2.900	30.83	23
2.872	31.14	100
2.770	32.32	69
2.733	32.77	28
2.661	33.69	13
2.618	34.25	14
1.689	54.32	17
1.436	64.93	13